Starting from a cell relaxed with PBE, the X-ray diffraction stick pattern of HfMo4W was computed for Cu Ka.
Lines closer than 0.1° are merged.

Crystal structure
```
data_HfMo4W
_chemical_formula_sum 'Hf2 Mo8 W2'
_space_group_name_H-M_alt 'C 1 2/m 1'
_space_group_IT_number 12
_cell_length_a 10.189
_cell_length_b 3.201
_cell_length_c 6.435
_cell_angle_alpha 90.00
_cell_angle_beta 108.52
_cell_angle_gamma 90.00
loop_
_space_group_symop_operation_xyz
'x,y,z'
'-x,-y,-z'
'-x,y,-z'
'x,-y,z'
'x+1/2,y+1/2,z'
'-x+1/2,-y+1/2,-z'
'-x+1/2,y+1/2,-z'
'x+1/2,-y+1/2,z'
loop_
_atom_site_label
_atom_site_type_symbol
_atom_site_fract_x
_atom_site_fract_y
_atom_site_fract_z
_atom_site_occupancy
Hf1 Hf 0.000 0.000 0.000 1
Mo1 Mo 0.170 0.500 0.829 1
Mo2 Mo 0.171 0.500 0.342 1
W1 W 0.000 0.000 0.500 1
```

Largest 8 diffraction maxima, in order of rising 2θ, 10 to 80 degrees two-theta:
d/Å  2θ/deg  I (rel.)
4.831  18.37  5.9
2.276  39.59  50.3
2.270  39.71  100.0
1.610  57.24  16.8
1.600  57.60  8.3
1.314  71.86  17.0
1.312  71.97  16.9
1.309  72.16  16.9